# 1
The following is a calculated powder XRD pattern of TbYB2Ir2N2. It was derived from a cell relaxed with PBE, using CuKα.
Intensities are scaled so that the largest is 100.

Main lines, by angle (10 to 90 degrees two-theta):
2theta	d/Å	I_rel
11.86	7.462	76.2
23.85	3.731	17.3
26.62	3.349	25.7
33.90	2.644	21.1
35.97	2.497	100.0
36.11	2.487	37.0
41.81	2.160	62.9
48.59	1.874	35.1
60.72	1.525	25.2
62.01	1.497	30.6
82.44	1.170	32.3
86.09	1.129	16.3

Structure:
Cell lengths 3.747, 3.747, 7.462 Å; angles 90.00, 90.00, 90.00 degrees
Atoms (fractional coordinates):
Tb (0.000, 0.000, 0.000)
Y (0.500, 0.500, 0.675)
B (0.000, 0.000, 0.493)
B (0.500, 0.500, 0.181)
Ir (0.000, 0.500, 0.337)
Ir (0.500, 0.000, 0.337)
N (0.000, 0.000, 0.693)
N (0.500, 0.500, 0.980)

# 2
The following is a calculated powder XRD pattern of AsPt15. It was derived from a cell relaxed with PBE, using CuKα.
Intensities are scaled so that the largest is 100.

Main lines, by angle (10 to 90 degrees two-theta):
2theta	d/Å	I_rel
38.49	2.339	62.5
39.59	2.277	100.0
40.68	2.218	34.8
44.99	2.015	40.6
46.17	1.966	32.9
46.93	1.936	23.5
66.42	1.408	25.6
67.01	1.397	16.7
67.93	1.380	15.9
80.00	1.199	15.5
80.72	1.190	14.2
85.22	1.139	17.9

Structure:
Cell lengths 7.869, 2.794, 34.908 Å; angles 90.00, 90.00, 90.00 degrees
Atoms (fractional coordinates):
As (0.124, 0.250, 0.298)
As (0.876, 0.750, 0.702)
Pt (0.116, 0.250, 0.732)
Pt (0.121, 0.250, 0.818)
Pt (0.124, 0.250, 0.899)
Pt (0.125, 0.250, 0.223)
Pt (0.126, 0.250, 0.060)
Pt (0.126, 0.250, 0.141)
Pt (0.126, 0.250, 0.979)
Pt (0.365, 0.750, 0.268)
Pt (0.371, 0.750, 0.183)
Pt (0.374, 0.750, 0.101)
Pt (0.375, 0.750, 0.701)
Pt (0.375, 0.750, 0.778)
Pt (0.375, 0.750, 0.858)
Pt (0.376, 0.750, 0.020)
Pt (0.376, 0.750, 0.938)
Pt (0.624, 0.250, 0.062)
Pt (0.624, 0.250, 0.980)
Pt (0.625, 0.250, 0.142)
Pt (0.625, 0.250, 0.222)
Pt (0.625, 0.250, 0.299)
Pt (0.626, 0.250, 0.899)
Pt (0.629, 0.250, 0.817)
Pt (0.635, 0.250, 0.732)
Pt (0.874, 0.750, 0.021)
Pt (0.874, 0.750, 0.859)
Pt (0.874, 0.750, 0.940)
Pt (0.875, 0.750, 0.777)
Pt (0.876, 0.750, 0.101)
Pt (0.879, 0.750, 0.182)
Pt (0.884, 0.750, 0.268)

# 3
The following is a calculated powder XRD pattern of Ho2TmAlCd3Ga2. It was derived from a cell relaxed with PBE, using CuKα.
Intensities are scaled so that the largest is 100.

Main lines, by angle (10 to 90 degrees two-theta):
2theta	d/Å	I_rel
24.70	3.604	17.0
28.55	3.126	12.0
32.06	2.792	96.3
35.20	2.549	100.0
38.08	2.363	59.1
40.99	2.202	31.0
43.43	2.084	12.2
57.05	1.614	19.4
57.17	1.611	44.9
68.89	1.363	21.6
69.04	1.360	14.7
70.92	1.329	12.8

Structure:
Cell lengths 4.404, 7.215, 7.215 Å; angles 119.87, 90.00, 90.00 degrees
Atoms (fractional coordinates):
Ho (0.000, 0.217, 0.783)
Ho (0.000, 0.783, 0.217)
Tm (0.000, 0.651, 0.651)
Al (0.000, 0.218, 0.218)
Cd (0.500, 0.217, 0.463)
Cd (0.500, 0.463, 0.217)
Cd (0.500, 0.970, 0.970)
Ga (0.500, 0.551, 0.883)
Ga (0.500, 0.883, 0.551)